Diffraction record for Na7Cu2O6. The X-ray powder pattern is calculated, not measured: it uses a DFT-relaxed cell (PBE, Alexandria) and Cu Kα (weighted mean of Kα1 and Kα2).

Peak list (12 most intense, 10° ≤ 2θ ≤ 90°, low angle first)
- (1 1 0), 2θ = 16.56°, I 34
- (1 1 -2), 2θ = 22.71°, I 27
- (3 1 -1), 2θ = 24.19°, I 50
- (4 0 0), 2θ = 25.14°, I 53
- (4 0 2), 2θ = 34.00°, I 43
- (2 2 1), 2θ = 35.41°, I 100
- (5 1 -2), 2θ = 35.66°, I 86
- (1 1 -4), 2θ = 37.04°, I 79
- (7 1 -1), 2θ = 46.26°, I 41
- (1 1 5), 2θ = 48.49°, I 25
- (3 3 -3), 2θ = 55.70°, I 29
- (6 0 -6), 2θ = 57.69°, I 22

Atomic structure:
Lattice parameters (Å, degrees): 14.627 5.781 10.719 90.00 104.39 90.00
Space group C2/c (No. 15)
Asymmetric unit:
Na 0.000 0.071 0.250
Na 0.060 0.364 0.650
Na 0.169 0.406 0.407
Na 0.222 0.041 0.801
Cu 0.124 0.124 0.038
O 0.096 0.232 0.872
O 0.123 0.272 0.192
O 0.173 0.170 0.581